The following is a computed X-ray powder pattern of TmZrTiZn. It was derived from a cell relaxed with GGA-PBE, using Cu Kα (λ = 1.5418 Å).
No peak broadening, texture or thermal motion is included.

Principal peaks in the range 5° ≤ 2θ ≤ 70°, most intense first:
36.55 deg, I = 100.0
65.79 deg, I = 34.3
25.62 deg, I = 17.4
52.65 deg, I = 17.1
22.14 deg, I = 9.6
59.44 deg, I = 7.3
43.14 deg, I = 5.6
45.17 deg, I = 5.3

Cell and atoms:
Cell lengths 6.954, 6.954, 6.954 Å; angles 90.00, 90.00, 90.00 degrees
Atoms (fractional coordinates):
Tm: 0.000 0.000 0.000
Tm: 0.000 0.500 0.500
Tm: 0.500 0.000 0.500
Tm: 0.500 0.500 0.000
Zr: 0.000 0.000 0.500
Zr: 0.000 0.500 0.000
Zr: 0.500 0.000 0.000
Zr: 0.500 0.500 0.500
Ti: 0.250 0.250 0.750
Ti: 0.250 0.750 0.250
Ti: 0.750 0.250 0.250
Ti: 0.750 0.750 0.750
Zn: 0.250 0.250 0.250
Zn: 0.250 0.750 0.750
Zn: 0.750 0.250 0.750
Zn: 0.750 0.750 0.250



The following is a computed X-ray powder pattern of Li3Ag4. It was derived from a cell relaxed with GGA-PBE, using Cu Kα (λ = 1.5418 Å).
No peak broadening, texture or thermal motion is included.

Principal peaks in the range 5° ≤ 2θ ≤ 70°, most intense first:
27.91 deg, I = 100.0
39.68 deg, I = 77.2
40.08 deg, I = 73.7
57.67 deg, I = 23.9
49.55 deg, I = 17.8
64.98 deg, I = 15.4
65.55 deg, I = 14.7
25.93 deg, I = 6.9

Cell and atoms:
Cell lengths 7.121, 7.121, 7.121 Å; angles 113.41, 113.41, 113.41 degrees
Atoms (fractional coordinates):
Li: 0.049 0.631 0.768
Li: 0.232 0.951 0.369
Li: 0.369 0.232 0.951
Li: 0.631 0.768 0.049
Li: 0.768 0.049 0.631
Li: 0.951 0.369 0.232
Ag: 0.000 0.000 0.000
Ag: 0.122 0.270 0.568
Ag: 0.270 0.568 0.122
Ag: 0.432 0.878 0.730
Ag: 0.500 0.500 0.500
Ag: 0.568 0.122 0.270
Ag: 0.730 0.432 0.878
Ag: 0.878 0.730 0.432



The following is a computed X-ray powder pattern of Y2Pt2Se7. It was derived from a cell relaxed with GGA-PBE, using Cu Kα (λ = 1.5418 Å).
No peak broadening, texture or thermal motion is included.

Principal peaks in the range 5° ≤ 2θ ≤ 70°, most intense first:
39.65 deg, I = 100.0
23.97 deg, I = 79.7
46.87 deg, I = 39.7
22.94 deg, I = 25.7
11.92 deg, I = 16.4
63.02 deg, I = 16.4
54.84 deg, I = 15.7
57.32 deg, I = 14.5

Cell and atoms:
Cell lengths 9.093, 9.093, 9.093 Å; angles 60.00, 60.00, 60.00 degrees
Atoms (fractional coordinates):
Y: 0.000 0.000 0.000
Y: 0.000 0.000 0.500
Y: 0.000 0.500 0.000
Y: 0.500 0.000 0.000
Pt: 0.000 0.500 0.500
Pt: 0.500 0.000 0.500
Pt: 0.500 0.500 0.000
Pt: 0.500 0.500 0.500
Se: 0.125 0.125 0.125
Se: 0.161 0.161 0.589
Se: 0.161 0.589 0.161
Se: 0.161 0.589 0.589
Se: 0.411 0.411 0.839
Se: 0.411 0.839 0.411
Se: 0.411 0.839 0.839
Se: 0.589 0.161 0.161
Se: 0.589 0.161 0.589
Se: 0.589 0.589 0.161
Se: 0.839 0.411 0.411
Se: 0.839 0.411 0.839
Se: 0.839 0.839 0.411
Se: 0.875 0.875 0.875



The following is a computed X-ray powder pattern of PaCu4Pd8. It was derived from a cell relaxed with GGA-PBE, using Cu Kα (λ = 1.5418 Å).
No peak broadening, texture or thermal motion is included.

Principal peaks in the range 5° ≤ 2θ ≤ 70°, most intense first:
40.76 deg, I = 100.0
35.15 deg, I = 36.2
41.03 deg, I = 30.3
46.06 deg, I = 20.2
35.42 deg, I = 18.1
67.24 deg, I = 15.2
28.59 deg, I = 10.7
45.80 deg, I = 10.5

Cell and atoms:
Cell lengths 6.762, 6.762, 6.762 Å; angles 98.07, 98.07, 135.98 degrees
Atoms (fractional coordinates):
Pa: 0.000 0.000 0.000
Cu: 0.000 0.000 0.500
Cu: 0.000 0.500 0.000
Cu: 0.500 0.000 0.000
Cu: 0.500 0.500 0.500
Pd: 0.000 0.340 0.340
Pd: 0.000 0.660 0.660
Pd: 0.284 0.500 0.784
Pd: 0.340 0.000 0.340
Pd: 0.500 0.284 0.784
Pd: 0.500 0.716 0.216
Pd: 0.660 0.000 0.660
Pd: 0.716 0.500 0.216



The following is a computed X-ray powder pattern of Sm8Er6Cd. It was derived from a cell relaxed with GGA-PBE, using Cu Kα (λ = 1.5418 Å).
No peak broadening, texture or thermal motion is included.

Principal peaks in the range 5° ≤ 2θ ≤ 70°, most intense first:
32.34 deg, I = 100.0
29.01 deg, I = 25.1
34.14 deg, I = 21.2
51.41 deg, I = 17.6
28.18 deg, I = 15.0
40.90 deg, I = 14.4
30.29 deg, I = 12.4
26.01 deg, I = 12.3

Cell and atoms:
Cell lengths 9.405, 9.405, 6.332 Å; angles 90.00, 90.00, 120.00 degrees
Atoms (fractional coordinates):
Sm: 0.042 0.270 0.187
Sm: 0.228 0.958 0.187
Sm: 0.270 0.228 0.813
Sm: 0.333 0.667 0.183
Sm: 0.667 0.333 0.817
Sm: 0.730 0.772 0.187
Sm: 0.772 0.042 0.813
Sm: 0.958 0.730 0.813
Er: 0.097 0.455 0.680
Er: 0.358 0.903 0.680
Er: 0.455 0.358 0.320
Er: 0.545 0.642 0.680
Er: 0.642 0.097 0.320
Er: 0.903 0.545 0.320
Cd: 0.000 0.000 0.500



The following is a computed X-ray powder pattern of VS2. It was derived from a cell relaxed with GGA-PBE, using Cu Kα (λ = 1.5418 Å).
No peak broadening, texture or thermal motion is included.

Principal peaks in the range 5° ≤ 2θ ≤ 70°, most intense first:
35.38 deg, I = 100.0
21.35 deg, I = 80.1
46.54 deg, I = 74.7
26.65 deg, I = 59.8
47.17 deg, I = 45.8
38.64 deg, I = 43.8
56.13 deg, I = 43.1
36.17 deg, I = 40.3

Cell and atoms:
Cell lengths 5.290, 6.741, 5.625 Å; angles 90.00, 90.00, 90.00 degrees
Atoms (fractional coordinates):
V: 0.000 0.095 0.250
V: 0.000 0.905 0.750
V: 0.500 0.405 0.750
V: 0.500 0.595 0.250
S: 0.236 0.376 0.077
S: 0.236 0.624 0.577
S: 0.264 0.124 0.577
S: 0.264 0.876 0.077
S: 0.736 0.124 0.923
S: 0.736 0.876 0.423
S: 0.764 0.376 0.423
S: 0.764 0.624 0.923



The following is a computed X-ray powder pattern of Rb4ZrNp3Te8. It was derived from a cell relaxed with GGA-PBE, using Cu Kα (λ = 1.5418 Å).
No peak broadening, texture or thermal motion is included.

Principal peaks in the range 5° ≤ 2θ ≤ 70°, most intense first:
26.67 deg, I = 100.0
10.34 deg, I = 38.0
39.87 deg, I = 36.9
36.20 deg, I = 34.4
48.61 deg, I = 19.0
33.48 deg, I = 16.5
64.61 deg, I = 15.9
45.25 deg, I = 10.9

Cell and atoms:
Cell lengths 9.044, 9.044, 10.013 Å; angles 116.76, 116.76, 60.03 degrees
Atoms (fractional coordinates):
Rb: 0.000 0.000 0.000
Rb: 0.000 0.500 0.000
Rb: 0.500 0.000 0.000
Rb: 0.500 0.500 0.000
Zr: 0.000 0.000 0.500
Np: 0.000 0.500 0.500
Np: 0.500 0.000 0.500
Np: 0.500 0.500 0.500
Te: 0.224 0.748 0.697
Te: 0.225 0.225 0.697
Te: 0.252 0.776 0.303
Te: 0.264 0.264 0.296
Te: 0.736 0.736 0.704
Te: 0.748 0.224 0.697
Te: 0.775 0.775 0.303
Te: 0.776 0.252 0.303



The following is a computed X-ray powder pattern of Cs2BaCd9. It was derived from a cell relaxed with GGA-PBE, using Cu Kα (λ = 1.5418 Å).
No peak broadening, texture or thermal motion is included.

Principal peaks in the range 5° ≤ 2θ ≤ 70°, most intense first:
32.25 deg, I = 100.0
32.13 deg, I = 30.2
27.08 deg, I = 26.3
57.05 deg, I = 25.9
27.63 deg, I = 25.6
51.85 deg, I = 25.4
32.97 deg, I = 21.6
34.91 deg, I = 20.8

Cell and atoms:
Cell lengths 11.488, 11.488, 11.488 Å; angles 32.65, 32.65, 32.65 degrees
Atoms (fractional coordinates):
Cs: 0.144 0.144 0.144
Cs: 0.856 0.856 0.856
Ba: 0.000 0.000 0.000
Cd: 0.069 0.579 0.579
Cd: 0.336 0.336 0.336
Cd: 0.421 0.421 0.931
Cd: 0.421 0.931 0.421
Cd: 0.500 0.500 0.500
Cd: 0.579 0.069 0.579
Cd: 0.579 0.579 0.069
Cd: 0.664 0.664 0.664
Cd: 0.931 0.421 0.421



The following is a computed X-ray powder pattern of DyGeS3. It was derived from a cell relaxed with GGA-PBE, using Cu Kα (λ = 1.5418 Å).
No peak broadening, texture or thermal motion is included.

Principal peaks in the range 5° ≤ 2θ ≤ 70°, most intense first:
24.82 deg, I = 100.0
16.33 deg, I = 65.1
38.57 deg, I = 51.8
20.30 deg, I = 43.9
38.12 deg, I = 38.7
27.03 deg, I = 32.2
30.99 deg, I = 30.1
48.79 deg, I = 26.4

Cell and atoms:
Cell lengths 6.923, 6.608, 10.859 Å; angles 90.00, 90.00, 90.00 degrees
Atoms (fractional coordinates):
Dy: 0.101 0.067 0.000
Dy: 0.399 0.567 0.500
Dy: 0.601 0.433 0.000
Dy: 0.899 0.933 0.500
Ge: 0.082 0.540 0.164
Ge: 0.418 0.040 0.664
Ge: 0.582 0.960 0.164
Ge: 0.918 0.460 0.664
S: 0.096 0.674 0.356
S: 0.158 0.242 0.557
S: 0.158 0.752 0.662
S: 0.342 0.252 0.162
S: 0.342 0.742 0.057
S: 0.404 0.174 0.856
S: 0.596 0.826 0.356
S: 0.658 0.258 0.557
S: 0.658 0.748 0.662
S: 0.842 0.248 0.162
S: 0.842 0.758 0.057
S: 0.904 0.326 0.856



The following is a computed X-ray powder pattern of Pa3HgO8. It was derived from a cell relaxed with GGA-PBE, using Cu Kα (λ = 1.5418 Å).
No peak broadening, texture or thermal motion is included.

Principal peaks in the range 5° ≤ 2θ ≤ 70°, most intense first:
15.08 deg, I = 100.0
34.59 deg, I = 63.7
13.89 deg, I = 62.6
30.43 deg, I = 54.7
28.70 deg, I = 39.4
27.99 deg, I = 26.3
48.15 deg, I = 21.4
51.27 deg, I = 21.4

Cell and atoms:
Cell lengths 7.588, 7.588, 7.588 Å; angles 56.03, 56.03, 56.03 degrees
Atoms (fractional coordinates):
Pa: 0.000 0.500 0.500
Pa: 0.500 0.000 0.500
Pa: 0.500 0.500 0.000
Hg: 0.500 0.500 0.500
O: 0.245 0.245 0.666
O: 0.245 0.666 0.245
O: 0.279 0.279 0.279
O: 0.334 0.755 0.755
O: 0.666 0.245 0.245
O: 0.721 0.721 0.721
O: 0.755 0.334 0.755
O: 0.755 0.755 0.334



The following is a computed X-ray powder pattern of V2BC. It was derived from a cell relaxed with GGA-PBE, using Cu Kα (λ = 1.5418 Å).
No peak broadening, texture or thermal motion is included.

Principal peaks in the range 5° ≤ 2θ ≤ 70°, most intense first:
43.35 deg, I = 100.0
37.30 deg, I = 61.6
40.44 deg, I = 39.0
67.29 deg, I = 21.4
33.97 deg, I = 18.0
58.50 deg, I = 14.9
61.90 deg, I = 11.7
62.95 deg, I = 11.1

Cell and atoms:
Cell lengths 2.998, 16.695, 2.953 Å; angles 90.00, 90.00, 90.00 degrees
Atoms (fractional coordinates):
V: 0.000 0.072 0.250
V: 0.000 0.309 0.250
V: 0.000 0.691 0.750
V: 0.000 0.928 0.750
V: 0.500 0.191 0.750
V: 0.500 0.428 0.750
V: 0.500 0.572 0.250
V: 0.500 0.809 0.250
B: 0.000 0.471 0.250
B: 0.000 0.529 0.750
B: 0.500 0.029 0.750
B: 0.500 0.971 0.250
C: 0.000 0.189 0.250
C: 0.000 0.811 0.750
C: 0.500 0.311 0.750
C: 0.500 0.689 0.250



The following is a computed X-ray powder pattern of Tb2Al4NiIr3. It was derived from a cell relaxed with GGA-PBE, using Cu Kα (λ = 1.5418 Å).
No peak broadening, texture or thermal motion is included.

Principal peaks in the range 5° ≤ 2θ ≤ 70°, most intense first:
35.20 deg, I = 100.0
33.68 deg, I = 70.4
43.81 deg, I = 63.3
27.53 deg, I = 52.6
48.89 deg, I = 42.2
31.80 deg, I = 40.7
56.37 deg, I = 32.6
67.72 deg, I = 32.0

Cell and atoms:
Cell lengths 4.133, 4.133, 10.436 Å; angles 90.00, 90.00, 90.00 degrees
Atoms (fractional coordinates):
Tb: 0.000 0.500 0.243
Tb: 0.500 0.000 0.757
Al: 0.000 0.000 0.500
Al: 0.000 0.500 0.878
Al: 0.500 0.000 0.122
Al: 0.500 0.500 0.500
Ni: 0.500 0.500 0.000
Ir: 0.000 0.000 0.000
Ir: 0.000 0.500 0.640
Ir: 0.500 0.000 0.360